Entry 1:
For Mg4InGa3, a PBE-relaxed structure gives the theoretical powder XRD pattern in this record (Cu Kα (λ = 1.5418 Å)).
Intensities are scaled so that the largest is 100.

Atomic structure:
```
Mg4InGa3
1.0
4.812 0.000 0.000
0.000 4.812 0.000
0.000 0.000 7.097
Mg In Ga
4 1 3
Direct
0.000 0.500 0.239
0.000 0.500 0.761
0.500 0.000 0.239
0.500 0.000 0.761
0.000 0.000 0.500
0.000 0.000 0.000
0.500 0.500 0.000
0.500 0.500 0.500
```

Top 12 peaks for 10° ≤ 2θ ≤ 90°, low angle first:
2θ (°), Rel. int.
25.09, 19
26.19, 34
36.59, 100
37.37, 47
45.55, 15
51.50, 9
53.89, 16
58.68, 7
65.34, 17
66.90, 32
77.77, 10
87.26, 7


Entry 2:
For Mg7InGa4, a PBE-relaxed structure gives the theoretical powder XRD pattern in this record (Cu Kα (λ = 1.5418 Å)).
Intensities are scaled so that the largest is 100.

Atomic structure:
```
Mg7InGa4
1.0
6.439 -2.686 0.000
6.439 2.686 0.000
-5.613 0.000 7.690
Mg In Ga
7 1 4
Direct
0.000 0.000 0.000
0.213 0.213 0.659
0.281 0.281 0.125
0.438 0.438 0.608
0.562 0.562 0.392
0.719 0.719 0.875
0.787 0.787 0.341
0.500 0.500 0.000
0.059 0.059 0.763
0.184 0.184 0.346
0.816 0.816 0.654
0.941 0.941 0.237
```

Top 12 peaks for 10° ≤ 2θ ≤ 90°, low angle first:
2θ (°), Rel. int.
13.83, 53
25.52, 89
27.84, 26
30.69, 26
31.40, 34
33.20, 37
33.36, 100
33.66, 33
39.23, 34
41.27, 68
52.42, 29
54.99, 31


Entry 3:
For Mg5In12Ga2, a PBE-relaxed structure gives the theoretical powder XRD pattern in this record (Cu Kα (λ = 1.5418 Å)).
Intensities are scaled so that the largest is 100.

Atomic structure:
```
Mg5In12Ga2
1.0
7.143 -4.313 0.000
7.143 4.313 0.000
-7.085 0.000 7.660
Mg In Ga
5 12 2
Direct
0.000 0.000 0.000
0.095 0.095 0.400
0.403 0.403 0.585
0.597 0.597 0.415
0.905 0.905 0.600
0.062 0.539 0.695
0.173 0.642 0.096
0.189 0.189 0.792
0.303 0.303 0.209
0.358 0.827 0.904
0.461 0.938 0.305
0.539 0.062 0.695
0.642 0.173 0.096
0.697 0.697 0.791
0.811 0.811 0.208
0.827 0.358 0.904
0.938 0.461 0.305
0.247 0.753 0.500
0.753 0.247 0.500
```

Top 12 peaks for 10° ≤ 2θ ≤ 90°, low angle first:
2θ (°), Rel. int.
20.60, 14
24.11, 21
33.79, 100
34.58, 93
37.31, 39
39.73, 31
41.90, 26
54.55, 12
57.33, 22
59.11, 17
64.56, 14
66.04, 13


Entry 4:
For Mg4In4Ga, a PBE-relaxed structure gives the theoretical powder XRD pattern in this record (Cu Kα (λ = 1.5418 Å)).
Intensities are scaled so that the largest is 100.

Atomic structure:
```
Mg4In4Ga
1.0
-4.759 4.759 2.317
4.759 -4.759 2.317
4.759 4.759 -2.317
Mg In Ga
4 4 1
Direct
0.000 0.330 0.330
0.000 0.670 0.670
0.330 0.000 0.330
0.670 0.000 0.670
0.334 0.334 0.669
0.334 0.666 0.000
0.666 0.334 0.000
0.666 0.666 0.331
0.000 0.000 0.000
```

Top 12 peaks for 10° ≤ 2θ ≤ 90°, low angle first:
2θ (°), Rel. int.
13.16, 24
18.65, 9
21.33, 15
28.47, 15
34.25, 100
38.87, 18
40.20, 32
57.16, 22
58.16, 10
67.44, 13
69.26, 24
72.17, 11